1.
The following is a computed powder diffraction line list of Li4Sn3S8. It was derived from a cell relaxed with GGA-PBE, using Cu Kα X-rays.
No peak broadening, texture or thermal motion is included.

Principal peaks in the range 2θ = 5–70°, by intensity:
two_theta  I (rel.)
13.6  100
33.3  89
28.1  45
46.8  34
48.9  32
14.5  26
43.0  24
51.1  23
36.2  16
16.5  16

Atomic structure:
Unit cell a=7.7833 b=7.7833 c=7.7833 alpha=57.13 beta=57.13 gamma=57.13
Sites, in units of the cell vectors:
1 Li 0.0000 0.0000 0.0000
2 Li 0.1333 0.1333 0.1333
3 Li 0.5000 0.5000 0.5000
4 Li 0.8667 0.8667 0.8667
5 Sn 0.0000 0.5000 0.5000
6 Sn 0.5000 0.0000 0.5000
7 Sn 0.5000 0.5000 0.0000
8 S 0.2486 0.2486 0.7301
9 S 0.2486 0.7301 0.2486
10 S 0.2576 0.2576 0.2576
11 S 0.2699 0.7514 0.7514
12 S 0.7301 0.2486 0.2486
13 S 0.7424 0.7424 0.7424
14 S 0.7514 0.2699 0.7514
15 S 0.7514 0.7514 0.2699

=====

2.
The following is a computed powder diffraction line list of Li3SnS4. It was derived from a cell relaxed with GGA-PBE, using Cu Kα X-rays.
No peak broadening, texture or thermal motion is included.

Principal peaks in the range 2θ = 5–70°, by intensity:
two_theta  I (rel.)
27.6  100
18.0  71
45.0  37
38.0  35
14.7  32
55.9  26
23.3  20
51.3  17
43.7  15
47.6  15

Atomic structure:
Unit cell a=7.1526 b=7.1526 c=7.1526 alpha=135.60 beta=135.60 gamma=64.61
Sites, in units of the cell vectors:
1 Li 0.0000 0.0000 0.0000
2 Li 0.2500 0.7500 0.5000
3 Li 0.7500 0.2500 0.5000
4 Sn 0.5000 0.5000 0.0000
5 S 0.1268 0.1268 0.4970
6 S 0.3702 0.8732 0.0000
7 S 0.6298 0.6298 0.5030
8 S 0.8732 0.3702 0.0000